Starting from a crystal structure in Alexandria, relaxed with GGA-PBE, the powder diffractogram of Pm3Mg2Tl4 was computed for Cu Ka.
Kinematic intensities with the Lorentz-polarization factor, no thermal factor.

Principal peaks in the range 2θ from 5° to 70°, by angle:
(hkl)  d (Å)  I (rel.)
2 0 -1  5.742  19
1 1 1  3.698  21
3 1 -1  3.069  40
3 1 0  2.869  100
0 0 3  2.836  90
3 1 -3  2.513  97
0 2 0  2.482  54
0 2 3  1.868  27
1 1 5  1.501  28
3 3 0  1.497  20

Atomic structure:
a = 11.720 Å, b = 4.963 Å, c = 9.455 Å
α = 90.00°, β = 115.87°, γ = 90.00°
Space group C2/m (No. 12)
Inequivalent atoms, fractional coordinates:
1 Pm 0.000 0.000 0.000 (multiplicity 2)
2 Pm 0.148 0.500 0.681 (multiplicity 4)
3 Mg 0.152 0.500 0.325 (multiplicity 4)
4 Tl 0.059 0.000 0.383 (multiplicity 4)
5 Tl 0.194 0.500 0.046 (multiplicity 4)



Starting from a crystal structure in Alexandria, relaxed with GGA-PBE, the powder diffractogram of Pr2DyHoEr4 was computed for Cu Ka.
Kinematic intensities with the Lorentz-polarization factor, no thermal factor.

Principal peaks in the range 2θ from 5° to 70°, by angle:
(hkl)  d (Å)  I (rel.)
0 4 0  3.311  45
0 0 2  2.948  100
0 4 2  2.202  88
8 0 -2  1.703  13
4 0 -4  1.700  7
8 4 -2  1.515  18
4 4 -4  1.512  9
8 0 -4  1.473  8
0 8 2  1.444  23
8 4 -4  1.346  12

Atomic structure:
a = 13.626 Å, b = 13.246 Å, c = 6.800 Å
α = 90.00°, β = 119.93°, γ = 90.00°
Space group C2/c (No. 15)
Inequivalent atoms, fractional coordinates:
1 Pr 0.000 0.000 0.000 (multiplicity 4)
2 Pr 0.250 0.250 0.000 (multiplicity 4)
3 Dy 0.000 0.500 0.000 (multiplicity 4)
4 Ho 0.250 0.250 0.500 (multiplicity 4)
5 Er 0.000 0.254 0.002 (multiplicity 8)
6 Er 0.246 0.498 0.495 (multiplicity 8)



Starting from a crystal structure in Alexandria, relaxed with GGA-PBE, the powder diffractogram of La4Rh3 was computed for Cu Ka.
Kinematic intensities with the Lorentz-polarization factor, no thermal factor.

Principal peaks in the range 2θ from 5° to 70°, by angle:
(hkl)  d (Å)  I (rel.)
2 2 0  3.183  17
3 1 0  2.847  100
3 2 1  2.406  47
4 2 0  2.013  9
3 3 2  1.919  12
4 2 2  1.838  12
4 3 1  1.765  32
5 2 1  1.644  7
6 1 1  1.460  21
5 4 1  1.389  10

Atomic structure:
a = 9.002 Å, b = 9.002 Å, c = 9.002 Å
α = 90.00°, β = 90.00°, γ = 90.00°
Space group I-43d (No. 220)
Inequivalent atoms, fractional coordinates:
1 La 0.056 0.056 0.056 (multiplicity 16)
2 Rh 0.000 0.250 0.375 (multiplicity 12)



Starting from a crystal structure in Alexandria, relaxed with GGA-PBE, the powder diffractogram of Pm4ErTmS8 was computed for Cu Ka.
Kinematic intensities with the Lorentz-polarization factor, no thermal factor.

Principal peaks in the range 2θ from 5° to 70°, by angle:
(hkl)  d (Å)  I (rel.)
1 1 0  4.087  28
0 1 5  3.485  100
2 0 2  3.337  12
0 2 4  2.890  18
3 0 0  2.360  13
1 2 5  2.225  43
2 0 8  2.044  57
3 1 5  1.764  11
4 1 3  1.505  22
0 4 8  1.445  9

Atomic structure:
a = 8.1803 Å, b = 8.1803 Å, c = 19.9914 Å
α = 90.00°, β = 90.00°, γ = 120.00°
Space group R3m (No. 160, hexagonal axes)
Inequivalent atoms, fractional coordinates:
1 Pm 0.0000 0.0000 0.0000 (multiplicity 3)
2 Pm 0.0034 0.5017 0.1245 (multiplicity 9)
3 Er 0.0000 0.0000 0.6233 (multiplicity 3)
4 Tm 0.0000 0.0000 0.2486 (multiplicity 3)
5 S 0.0000 0.0000 0.3766 (multiplicity 3)
6 S 0.0000 0.0000 0.8670 (multiplicity 3)
7 S 0.0288 0.5144 0.3738 (multiplicity 9)
8 S 0.1747 0.3493 0.2097 (multiplicity 9)



Starting from a crystal structure in Alexandria, relaxed with GGA-PBE, the powder diffractogram of Li2Pr2Cd15 was computed for Cu Ka.
Kinematic intensities with the Lorentz-polarization factor, no thermal factor.

Principal peaks in the range 2θ from 5° to 70°, by angle:
(hkl)  d (Å)  I (rel.)
1 1 0  5.033  21
1 1 3  3.541  11
0 2 4  2.837  12
0 3 3  2.512  100
0 0 6  2.491  28
2 0 5  2.466  14
2 2 3  2.246  36
2 2 6  1.770  12
3 3 3  1.590  11
6 0 0  1.453  11

Atomic structure:
a = 10.0661 Å, b = 10.0661 Å, c = 14.9484 Å
α = 90.00°, β = 90.00°, γ = 120.00°
Space group R-3m (No. 166, hexagonal axes)
Inequivalent atoms, fractional coordinates:
1 Li 0.0000 0.0000 0.0993 (multiplicity 6)
2 Pr 0.0000 0.0000 0.3362 (multiplicity 6)
3 Cd 0.0000 0.2947 0.0000 (multiplicity 18)
4 Cd 0.0000 0.5000 0.5000 (multiplicity 9)
5 Cd 0.0090 0.5045 0.1468 (multiplicity 18)



Starting from a crystal structure in Alexandria, relaxed with GGA-PBE, the powder diffractogram of InAg was computed for Cu Ka.
Kinematic intensities with the Lorentz-polarization factor, no thermal factor.

Principal peaks in the range 2θ from 5° to 70°, by angle:
(hkl)  d (Å)  I (rel.)
2 2 0  2.493  100
4 0 0  1.763  17
4 2 2  1.439  34

Atomic structure:
a = 7.050 Å, b = 7.050 Å, c = 7.050 Å
α = 90.00°, β = 90.00°, γ = 90.00°
Space group Fd-3m (No. 227, origin choice 2)
Inequivalent atoms, fractional coordinates:
1 In 0.125 0.125 0.125 (multiplicity 8)
2 Ag 0.125 0.125 0.625 (multiplicity 8)